# 1
Starting from DFT lattice parameters and positions (PBE), the powder diffraction line list of Li8Sb3 was simulated for λ = 1.5418 Å (Cu Kα).
Lines closer than 0.1° are merged.

Most intense lines, 2θ from 5° to 70°, in order of falling intensity:
- d 3.855, 23.07 deg, intensity 100
- d 3.346, 26.64 deg, intensity 56
- d 6.692, 13.23 deg, intensity 47
- d 3.889, 22.86 deg, intensity 34
- d 2.017, 44.95 deg, intensity 34
- d 2.374, 37.90 deg, intensity 33
- d 2.358, 38.16 deg, intensity 32
- d 4.748, 18.69 deg, intensity 18

Structure:
```
11
Lattice="4.717 2.723 3.889 -4.717 2.723 3.889 0.000 -5.446 3.889" Properties=species:S:1:pos:R:3 pbc="T T T"
Li 0.000 0.000 2.545
Li 0.000 -3.043 4.724
Li -2.636 1.522 4.724
Li -2.636 -1.522 6.944
Li 2.636 1.522 4.724
Li 2.636 -1.522 6.944
Li 0.000 3.043 6.944
Li 0.000 0.000 9.123
Sb -4.717 0.000 5.834
Sb -2.358 1.362 1.945
Sb 2.358 1.362 1.945
```

---

# 2
Starting from DFT lattice parameters and positions (PBE), the powder diffraction line list of Ac2CoC was simulated for λ = 1.5418 Å (Cu Kα).
Lines closer than 0.1° are merged.

Most intense lines, 2θ from 5° to 70°, in order of falling intensity:
- d 2.697, 33.22 deg, intensity 100
- d 3.084, 28.96 deg, intensity 83
- d 2.184, 41.35 deg, intensity 69
- d 2.967, 30.12 deg, intensity 66
- d 3.721, 23.91 deg, intensity 62
- d 3.593, 24.78 deg, intensity 60
- d 3.805, 23.38 deg, intensity 57
- d 2.374, 37.89 deg, intensity 47

Structure:
```
8
Lattice="3.702 0.000 0.000 -0.018 7.872 0.000 -1.849 -1.963 7.443" Properties=species:S:1:pos:R:3 pbc="T T T"
Ac -0.036 -0.001 1.832
Ac 0.025 3.935 1.832
Ac 1.811 1.974 5.611
Ac 1.872 5.909 5.611
Co -0.003 0.005 7.442
Co 1.839 5.904 0.001
C 1.848 0.005 7.443
C -0.012 5.904 0.000
```

---

# 3
Starting from DFT lattice parameters and positions (PBE), the powder diffraction line list of Tl2CdI8 was simulated for λ = 1.5418 Å (Cu Kα).
Lines closer than 0.1° are merged.

Most intense lines, 2θ from 5° to 70°, in order of falling intensity:
- d 3.509, 25.38 deg, intensity 100
- d 2.278, 39.56 deg, intensity 82
- d 2.683, 33.39 deg, intensity 70
- d 5.521, 16.05 deg, intensity 51
- d 4.034, 22.04 deg, intensity 48
- d 3.468, 25.69 deg, intensity 45
- d 2.356, 38.20 deg, intensity 42
- d 2.084, 43.42 deg, intensity 36

Structure:
```
22
Lattice="10.542 -4.712 0.000 10.542 4.712 0.000 -9.752 0.000 10.743" Properties=species:S:1:pos:R:3 pbc="T T T"
Tl -0.695 2.433 10.328
Tl 7.150 2.433 5.787
Tl 4.181 -2.433 4.956
Tl 12.027 -2.433 0.415
Cd 8.104 0.049 2.686
Cd 3.228 -0.049 8.057
I 1.204 2.345 8.194
I 3.067 0.020 0.733
I -1.809 -0.020 6.105
I 5.960 2.137 3.193
I 5.251 2.345 7.921
I -2.288 0.015 10.518
I 2.588 -0.015 5.146
I 10.247 2.137 2.179
I 1.084 -2.137 8.564
I 8.743 0.015 5.597
I 13.619 -0.015 0.226
I 6.080 -2.345 2.823
I 5.371 -2.137 7.550
I 13.140 0.020 4.638
I 8.264 -0.020 10.010
I 10.128 -2.345 2.549
```